The following is a simulated powder X-ray diffraction pattern of Nd12Ni6Hg. It was derived from a crystal structure in Alexandria, relaxed with GGA-PBE, using Cu Ka.

Peak list (6 most intense, 2θ = 15–90°, sorted by position)
2θ/deg	I/Imax	hkl
28.1	41	3 0 1
30.9	39	2 2 2
33.4	100	3 1 2
46.2	23	5 0 1
53.3	31	5 3 0
56.6	34	5 2 3

Cell and atoms:
```
data_Nd12Ni6Hg
_chemical_formula_sum 'Nd24 Ni12 Hg2'
_cell_length_a 10.029
_cell_length_b 10.029
_cell_length_c 10.029
_cell_angle_alpha 90.00
_cell_angle_beta 90.00
_cell_angle_gamma 90.00
_space_group_name_H-M_alt 'I m -3'
_space_group_IT_number 204
_space_group_name_Hall '-I 2 2 3'
loop_
_atom_site_label
_atom_site_fract_x
_atom_site_fract_y
_atom_site_fract_z
Nd1 0.000 0.305 0.186
Ni1 0.000 0.122 0.500
Hg1 0.000 0.000 0.000
```

The following is a simulated powder X-ray diffraction pattern of Ho3AgOs. It was derived from a crystal structure in Alexandria, relaxed with GGA-PBE, using Cu Ka.

Peak list (6 most intense, 2θ = 15–90°, sorted by position)
2θ/deg	I/Imax	hkl
31.5	52	1 3 1
33.2	44	1 1 5
35.5	100	2 2 2
36.3	52	2 0 4
39.3	35	0 2 6
40.9	26	2 2 4

Cell and atoms:
```
data_Ho3AgOs
_chemical_formula_sum 'Ho24 Ag8 Os8'
_cell_length_a 6.406
_cell_length_b 9.719
_cell_length_c 15.622
_cell_angle_alpha 90.00
_cell_angle_beta 90.00
_cell_angle_gamma 90.00
_space_group_name_H-M_alt 'F m m m'
_space_group_IT_number 69
_space_group_name_Hall '-F 2 2'
loop_
_atom_site_label
_atom_site_fract_x
_atom_site_fract_y
_atom_site_fract_z
Ho1 0.000 0.000 0.196
Ho2 0.000 0.185 0.391
Ag1 0.210 0.000 0.000
Os1 0.250 0.250 0.250
```

The following is a simulated powder X-ray diffraction pattern of HgSb3Pb12. It was derived from a crystal structure in Alexandria, relaxed with GGA-PBE, using Cu Ka.

Peak list (6 most intense, 2θ = 15–90°, sorted by position)
2θ/deg	I/Imax	hkl
31.3	27	0 2 0
32.0	26	2 0 0
32.3	100	1 1 4
45.4	20	2 2 0
56.4	21	1 3 4
57.2	20	3 1 4

Cell and atoms:
```
data_HgSb3Pb12
_chemical_formula_sum 'Hg1 Sb3 Pb12'
_cell_length_a 5.597
_cell_length_b 5.713
_cell_length_c 15.398
_cell_angle_alpha 90.00
_cell_angle_beta 90.00
_cell_angle_gamma 90.00
_space_group_name_H-M_alt 'P m m m'
_space_group_IT_number 47
loop_
_space_group_symop_operation_xyz
'x,y,z'
'-x,-y,-z'
'-x,-y,z'
'x,y,-z'
'x,-y,-z'
'-x,y,z'
'-x,y,-z'
'x,-y,z'
loop_
_atom_site_label
_atom_site_fract_x
_atom_site_fract_y
_atom_site_fract_z
Hg1 0.000 0.000 0.000
Sb1 0.000 0.000 0.237
Sb2 0.000 0.000 0.500
Pb1 0.000 0.500 0.130
Pb2 0.000 0.500 0.376
Pb3 0.500 0.000 0.128
Pb4 0.500 0.000 0.376
Pb5 0.500 0.500 0.000
Pb6 0.500 0.500 0.257
Pb7 0.500 0.500 0.500
```